Structure and theoretical powder diffractogram of NaSm2TcO6 (a crystal structure in Alexandria, relaxed with PBE; Cu Kα, 1.54184 Å).
Neutral-atom scattering factors, no anomalous dispersion.

Structural model:
Cell lengths 5.940, 5.940, 5.940 Å; angles 57.65, 57.65, 57.65 degrees
Fractional positions:
Na (0.000, 0.000, 0.000)
Sm (0.274, 0.274, 0.274)
Sm (0.779, 0.779, 0.779)
Tc (0.485, 0.485, 0.485)
O (0.134, 0.675, 0.386)
O (0.236, 0.595, 0.829)
O (0.386, 0.134, 0.675)
O (0.595, 0.829, 0.236)
O (0.675, 0.386, 0.134)
O (0.829, 0.236, 0.595)

Top 12 peaks for 2θ = 5–70°, in order of rising 2θ:
- 18.87 deg, intensity 17.9
- 21.57 deg, intensity 62.2
- 30.13 deg, intensity 100.0
- 31.23 deg, intensity 96.4
- 38.27 deg, intensity 17.3
- 43.95 deg, intensity 42.2
- 48.72 deg, intensity 43.2
- 50.20 deg, intensity 13.9
- 52.81 deg, intensity 12.8
- 54.90 deg, intensity 40.8
- 55.58 deg, intensity 29.4
- 65.15 deg, intensity 12.8